The following is a simulated X-ray diffraction stick pattern of Ce4IrN. It was derived from a cell relaxed with PBE, using Cu Kα.
No peak broadening, texture or thermal motion is included.

Principal peaks in the range 2θ from 10° to 90°, by angle:
| d (Å) | I/Imax |
| --- | --- |
| 4.366 | 42 |
| 3.504 | 31 |
| 2.937 | 100 |
| 2.761 | 37 |
| 2.316 | 22 |
| 2.266 | 47 |
| 2.183 | 32 |
| 1.827 | 43 |

Structural model:
Cell: 7.339 7.339 7.339 Å, 107.00 107.00 114.53°
Fractional coordinates of all 12 atoms:
Ce  0.130  0.439  0.691
Ce  0.189  0.380  0.191
Ce  0.189  0.998  0.809
Ce  0.291  0.000  0.291
Ce  0.709  0.000  0.709
Ce  0.748  0.439  0.309
Ce  0.750  0.541  0.791
Ce  0.750  0.959  0.209
Ir  0.236  0.736  0.500
Ir  0.486  0.486  0.000
N  0.703  0.203  0.500
N  0.953  0.953  0.000